Starting from a DFT-relaxed cell (PBE, the Materials Project), the powder X-ray diffraction pattern of K2MgSe2O14 was simulated for Cu Ka.
Intensities are scaled so that the largest is 100.

The 10 most intense peaks (2θ from 5° to 70°), most intense first:
- 24.62 deg, I 100.0
- 23.19 deg, I 71.6
- 30.46 deg, I 52.0
- 16.61 deg, I 45.3
- 25.07 deg, I 39.0
- 21.51 deg, I 38.7
- 21.99 deg, I 37.1
- 39.62 deg, I 34.9
- 33.14 deg, I 34.9
- 28.82 deg, I 32.6

Structure:
a b c (Å): 6.1092 12.0495 8.5293
angles (deg): 90.00 102.94 90.00
Space group P2_1/c (No. 14)
Asymmetric unit:
K: 0.1600 0.1580 0.3602 (multiplicity 4)
Mg: 0.5000 0.0000 0.0000 (multiplicity 2)
Se: 0.2498 0.6498 0.9066 (multiplicity 4)
O: 0.0835 0.7437 0.4236 (multiplicity 4)
O: 0.1087 0.5646 0.7569 (multiplicity 4)
O: 0.1557 0.5367 0.5193 (multiplicity 4)
O: 0.2930 0.5687 0.0700 (multiplicity 4)
O: 0.3317 0.1243 0.8627 (multiplicity 4)
O: 0.4482 0.1264 0.1537 (multiplicity 4)
O: 0.4968 0.6917 0.8661 (multiplicity 4)